Structure and theoretical X-ray diffraction stick pattern of Na3InSi2SnSO12 (the GGA-PBE geometry in the Materials Project; Cu Kα (λ = 1.5418 Å)).
No peak broadening, texture or thermal motion is included.

Crystal structure
Lattice parameters (Å, degrees): 15.8380 9.1434 9.2864 90.00 125.00 90.00
Space group Cc (No. 9)
Symmetry-distinct sites (fractional):
Na 0.0000 0.0639 0.0000 (multiplicity 4)
Na 0.3581 0.0671 0.0045 (multiplicity 4)
Na 0.4227 0.2698 0.7631 (multiplicity 4)
In 0.2900 0.2559 0.3307 (multiplicity 4)
Si 0.1909 0.0485 0.5290 (multiplicity 4)
Si 0.3421 0.3957 0.0377 (multiplicity 4)
Sn 0.0932 0.2387 0.7194 (multiplicity 4)
S 0.0425 0.4061 0.0218 (multiplicity 4)
O 0.0354 0.3796 0.8565 (multiplicity 4)
O 0.0362 0.4317 0.5357 (multiplicity 4)
O 0.1034 0.1464 0.5315 (multiplicity 4)
O 0.1114 0.0546 0.8529 (multiplicity 4)
O 0.1359 0.3440 0.1772 (multiplicity 4)
O 0.2372 0.3168 0.8677 (multiplicity 4)
O 0.2629 0.0502 0.2056 (multiplicity 4)
O 0.2720 0.1458 0.5144 (multiplicity 4)
O 0.3547 0.3681 0.2212 (multiplicity 4)
O 0.3571 0.4305 0.5203 (multiplicity 4)
O 0.4358 0.3024 0.0404 (multiplicity 4)
O 0.4557 0.1616 0.5168 (multiplicity 4)

Principal peaks in the range 15° ≤ 2θ ≤ 90°, sorted by position:
- 2θ = 19.2°, rel. 100
- 2θ = 19.4°, rel. 97
- 2θ = 22.7°, rel. 24
- 2θ = 27.4°, rel. 33
- 2θ = 30.5°, rel. 78
- 2θ = 30.7°, rel. 38
- 2θ = 34.0°, rel. 69
- 2θ = 53.0°, rel. 35